# NaEuCu2F8
Simulated X-ray powder pattern, CuKα. Input: DFT lattice parameters and positions (PBE).

Principal peaks in the range 2θ from 10° to 90°, most intense first:
| two_theta | d/Å | I_rel |
| --- | --- | --- |
| 28.5 | 3.132 | 100 |
| 18.1 | 4.889 | 50 |
| 47.9 | 1.900 | 38 |
| 55.4 | 1.659 | 30 |
| 46.4 | 1.956 | 21 |
| 37.4 | 2.407 | 21 |
| 32.4 | 2.765 | 18 |
| 44.9 | 2.017 | 14 |

Structural model:
```
data_NaEuCu2F8
_chemical_formula_sum 'Na2 Eu2 Cu4 F16'
_space_group_name_H-M_alt 'I 4 2 2'
_space_group_IT_number 97
_space_group_name_Hall 'I 4 2'
_cell_length_a 5.5304
_cell_length_b 5.5304
_cell_length_c 10.4593
_cell_angle_alpha 90.00
_cell_angle_beta 90.00
_cell_angle_gamma 90.00
loop_
_atom_site_label
_atom_site_fract_x
_atom_site_fract_y
_atom_site_fract_z
_atom_site_occupancy
Na1 0.0000 0.0000 0.0000 1
Eu1 0.0000 0.0000 0.5000 1
Cu1 0.0000 0.5000 0.2500 1
F1 0.1683 0.3206 0.6242 1
```